# 1
Computed powder X-ray diffraction pattern
Compound: Gd3Sn3Pb4
Radiation: Cu Ka
Structure: a cell relaxed with PBE
Neutral-atom scattering factors, no anomalous dispersion.

```
data_Gd3Sn3Pb4
_chemical_formula_sum 'Gd6 Sn6 Pb8'
_cell_length_a 4.6328
_cell_length_b 25.7846
_cell_length_c 4.6961
_cell_angle_alpha 90.00
_cell_angle_beta 90.00
_cell_angle_gamma 90.00
_space_group_name_H-M_alt 'C m m m'
_space_group_IT_number 65
_space_group_name_Hall '-C 2 2'
loop_
_atom_site_label
_atom_site_fract_x
_atom_site_fract_y
_atom_site_fract_z
Gd1 0.0000 0.0000 0.0000
Gd2 0.0000 0.1866 0.0000
Sn1 0.0000 0.4047 0.0000
Sn2 0.0000 0.5000 0.5000
Pb1 0.0000 0.0964 0.5000
Pb2 0.0000 0.2938 0.5000
```

Principal peaks in the range 10° ≤ 2θ ≤ 80°, in order of rising 2θ:
- 2θ = 28.1°, I = 4, (0 6 1)
- 2θ = 32.2°, I = 100, (1 5 1)
- 2θ = 34.8°, I = 18, (0 10 0)
- 2θ = 38.3°, I = 17, (0 0 2)
- 2θ = 38.9°, I = 16, (2 0 0)
- 2θ = 52.7°, I = 11, (0 10 2)
- 2θ = 53.2°, I = 11, (2 10 0)
- 2θ = 55.7°, I = 11, (2 0 2)
- 2θ = 60.8°, I = 13, (1 15 1)
- 2θ = 65.5°, I = 14, (1 5 3)
- 2θ = 66.2°, I = 13, (3 5 1)
- 2θ = 67.4°, I = 11, (2 10 2)

# 2
Computed powder X-ray diffraction pattern
Compound: Rb2MoP2
Radiation: Cu Ka
Structure: a cell relaxed with PBE
Neutral-atom scattering factors, no anomalous dispersion.

```
data_Rb2MoP2
_chemical_formula_sum 'Rb8 Mo4 P8'
_cell_length_a 6.7613
_cell_length_b 16.4682
_cell_length_c 5.3130
_cell_angle_alpha 90.00
_cell_angle_beta 90.00
_cell_angle_gamma 90.00
_space_group_name_H-M_alt 'C m c m'
_space_group_IT_number 63
_space_group_name_Hall '-C 2c 2'
loop_
_atom_site_label
_atom_site_fract_x
_atom_site_fract_y
_atom_site_fract_z
Rb1 0.0000 0.0810 0.2500
Rb2 0.0000 0.2814 0.7500
Mo1 0.0000 0.5000 0.0000
P1 0.1652 0.3883 0.2500
```

Principal peaks in the range 10° ≤ 2θ ≤ 80°, in order of rising 2θ:
- 2θ = 10.7°, I = 34, (0 2 0)
- 2θ = 14.2°, I = 29, (1 1 0)
- 2θ = 26.4°, I = 44, (2 0 0)
- 2θ = 26.8°, I = 100, (1 3 1)
- 2θ = 30.2°, I = 48, (1 5 0)
- 2θ = 33.2°, I = 30, (2 2 1)
- 2θ = 34.3°, I = 16, (2 4 0)
- 2θ = 36.8°, I = 22, (1 1 2)
- 2θ = 40.0°, I = 27, (1 3 2)
- 2θ = 47.6°, I = 17, (0 6 2)
- 2θ = 49.0°, I = 25, (3 5 0)
- 2θ = 53.6°, I = 16, (3 1 2)

# 3
Computed powder X-ray diffraction pattern
Compound: RbWN2
Radiation: Cu Ka
Structure: a cell relaxed with PBE
Neutral-atom scattering factors, no anomalous dispersion.

```
data_RbWN2
_chemical_formula_sum 'Rb4 W4 N8'
_cell_length_a 6.0169
_cell_length_b 6.0169
_cell_length_c 8.6535
_cell_angle_alpha 90.00
_cell_angle_beta 90.00
_cell_angle_gamma 90.00
_space_group_name_H-M_alt 'I -4'
_space_group_IT_number 82
_space_group_name_Hall 'I -4'
loop_
_atom_site_label
_atom_site_fract_x
_atom_site_fract_y
_atom_site_fract_z
Rb1 0.0000 0.0000 0.0000
Rb2 0.0000 0.5000 0.2500
W1 0.0000 0.0000 0.5000
W2 0.0000 0.5000 0.7500
N1 0.0692 0.2490 0.6259
```

Principal peaks in the range 10° ≤ 2θ ≤ 80°, in order of rising 2θ:
- 2θ = 18.0°, I = 29, (1 0 1)
- 2θ = 29.4°, I = 100, (1 1 2)
- 2θ = 29.7°, I = 47, (2 0 0)
- 2θ = 41.8°, I = 8, (0 0 4)
- 2θ = 42.5°, I = 16, (2 2 0)
- 2θ = 52.1°, I = 21, (2 0 4)
- 2θ = 52.5°, I = 40, (3 1 2)
- 2θ = 61.1°, I = 14, (2 2 4)
- 2θ = 61.7°, I = 7, (4 0 0)
- 2θ = 68.7°, I = 9, (1 1 6)
- 2θ = 69.8°, I = 9, (3 3 2)
- 2θ = 69.9°, I = 9, (2 4 0)

# 4
Computed powder X-ray diffraction pattern
Compound: SmBP2
Radiation: Cu Ka
Structure: a cell relaxed with PBE
Neutral-atom scattering factors, no anomalous dispersion.

```
data_SmBP2
_chemical_formula_sum 'Sm1 B1 P2'
_cell_length_a 3.5619
_cell_length_b 3.5619
_cell_length_c 6.3676
_cell_angle_alpha 90.00
_cell_angle_beta 90.00
_cell_angle_gamma 120.00
_space_group_name_H-M_alt 'P 3 m 1'
_space_group_IT_number 156
_space_group_name_Hall 'P 3 -2"'
loop_
_atom_site_label
_atom_site_fract_x
_atom_site_fract_y
_atom_site_fract_z
Sm1 0.0000 0.0000 0.0000
B1 0.3333 0.6667 0.4039
P1 0.3333 0.6667 0.7063
P2 0.6667 0.3333 0.3160
```

Principal peaks in the range 10° ≤ 2θ ≤ 80°, in order of rising 2θ:
- 2θ = 13.9°, I = 59, (0 0 1)
- 2θ = 28.9°, I = 30, (1 0 0)
- 2θ = 32.2°, I = 100, (1 0 1)
- 2θ = 40.7°, I = 55, (0 1 2)
- 2θ = 42.6°, I = 11, (0 0 3)
- 2θ = 51.3°, I = 22, (1 1 0)
- 2θ = 52.3°, I = 15, (0 1 3)
- 2θ = 53.4°, I = 13, (1 1 1)
- 2θ = 61.9°, I = 15, (0 2 1)
- 2θ = 66.0°, I = 11, (1 0 4)
- 2θ = 67.5°, I = 12, (2 0 2)
- 2θ = 68.8°, I = 16, (1 1 3)

# 5
Computed powder X-ray diffraction pattern
Compound: Co9Re4
Radiation: Cu Ka
Structure: a cell relaxed with PBE
Neutral-atom scattering factors, no anomalous dispersion.

```
data_Co9Re4
_chemical_formula_sum 'Co27 Re12'
_cell_length_a 4.5950
_cell_length_b 4.5950
_cell_length_c 24.8910
_cell_angle_alpha 90.00
_cell_angle_beta 90.00
_cell_angle_gamma 120.00
_space_group_name_H-M_alt 'R -3 m'
_space_group_IT_number 166
_space_group_name_Hall '-R 3 2"'
loop_
_atom_site_label
_atom_site_fract_x
_atom_site_fract_y
_atom_site_fract_z
Co1 0.0000 0.0000 0.0000
Co2 0.0000 0.0000 0.1674
Co3 0.0008 0.5004 0.4116
Re1 0.0000 0.0000 0.3449
Re2 0.0000 0.0000 0.4521
```

Principal peaks in the range 10° ≤ 2θ ≤ 80°, in order of rising 2θ:
- 2θ = 22.6°, I = 67, (1 0 1)
- 2θ = 32.4°, I = 18, (0 0 9)
- 2θ = 39.2°, I = 100, (1 1 0)
- 2θ = 42.9°, I = 79, (1 0 10)
- 2θ = 45.1°, I = 64, (1 1 6)
- 2θ = 45.7°, I = 57, (0 2 1)
- 2θ = 46.2°, I = 61, (0 1 11)
- 2θ = 51.7°, I = 51, (1 1 9)
- 2θ = 71.1°, I = 18, (3 0 0)
- 2θ = 73.6°, I = 32, (2 1 10)
- 2θ = 75.2°, I = 13, (0 3 6)
- 2θ = 76.0°, I = 22, (1 2 11)